For ThGaFe2C, a cell relaxed with PBE gives the calculated X-ray powder pattern in this record (CuKα).
Intensities are scaled so that the largest is 100.

Structure:
```
data_ThGaFe2C
_chemical_formula_sum 'Th4 Ga4 Fe8 C4'
_symmetry_space_group_name_H-M 'C m c m'
_symmetry_Int_Tables_number 63
_symmetry_space_group_name_Hall '-C 2c 2'
_cell_length_a 4.027
_cell_length_b 10.816
_cell_length_c 6.832
_cell_angle_alpha 90.00
_cell_angle_beta 90.00
_cell_angle_gamma 90.00
loop_
_atom_site_label
_atom_site_fract_x
_atom_site_fract_y
_atom_site_fract_z
Th1 0.000 0.060 0.250
Ga1 0.000 0.224 0.750
Fe1 0.000 0.340 0.067
C1 0.000 0.500 0.000
```

Most intense lines, 10° ≤ 2θ ≤ 90°, sorted by position:
2θ/deg	intensity
23.6	37.5
26.1	30.8
33.4	21.5
35.4	100.0
35.7	61.6
35.9	97.5
43.1	21.0
45.0	30.9
52.7	38.2
58.7	29.4



For ScZnPtO4, a cell relaxed with PBE gives the calculated X-ray powder pattern in this record (CuKα).
Intensities are scaled so that the largest is 100.

Structure:
```
data_ScZnPtO4
_chemical_formula_sum 'Sc4 Zn4 Pt4 O16'
_symmetry_space_group_name_H-M 'I m m a'
_symmetry_Int_Tables_number 74
_symmetry_space_group_name_Hall '-I 2b 2'
_cell_length_a 6.192
_cell_length_b 6.215
_cell_length_c 9.059
_cell_angle_alpha 90.00
_cell_angle_beta 90.00
_cell_angle_gamma 90.00
loop_
_atom_site_label
_atom_site_fract_x
_atom_site_fract_y
_atom_site_fract_z
Sc1 0.000 0.000 0.000
Zn1 0.000 0.250 0.376
Pt1 0.250 0.250 0.750
O1 0.000 0.027 0.759
O2 0.227 0.250 0.018
```

Most intense lines, 10° ≤ 2θ ≤ 90°, sorted by position:
2θ/deg	intensity
17.3	82.6
19.6	31.7
28.7	29.4
33.0	65.2
33.8	100.0
35.1	42.8
41.2	23.5
44.4	16.1
54.2	31.2
58.6	40.9



For Nd2NiIr3, a cell relaxed with PBE gives the calculated X-ray powder pattern in this record (CuKα).
Intensities are scaled so that the largest is 100.

Structure:
```
data_Nd2NiIr3
_chemical_formula_sum 'Nd6 Ni3 Ir9'
_symmetry_space_group_name_H-M 'R -3 m'
_symmetry_Int_Tables_number 166
_symmetry_space_group_name_Hall '-R 3 2"'
_cell_length_a 5.4612
_cell_length_b 5.4612
_cell_length_c 12.7659
_cell_angle_alpha 90.00
_cell_angle_beta 90.00
_cell_angle_gamma 120.00
loop_
_atom_site_label
_atom_site_fract_x
_atom_site_fract_y
_atom_site_fract_z
Nd1 0.0000 0.0000 0.1253
Ni1 0.0000 0.0000 0.5000
Ir1 0.0000 0.5000 0.0000
```

Most intense lines, 10° ≤ 2θ ≤ 90°, sorted by position:
2θ/deg	intensity
20.9	27.4
33.9	49.0
38.7	100.0
39.2	81.9
40.1	37.8
40.7	69.8
42.5	20.9
64.5	23.1
68.8	31.6
71.3	28.4



For Hf2Au2C, a cell relaxed with PBE gives the calculated X-ray powder pattern in this record (CuKα).
Intensities are scaled so that the largest is 100.

Structure:
```
data_Hf2Au2C
_chemical_formula_sum 'Hf6 Au6 C3'
_symmetry_space_group_name_H-M 'R -3 m'
_symmetry_Int_Tables_number 166
_symmetry_space_group_name_Hall '-R 3 2"'
_cell_length_a 3.2990
_cell_length_b 3.2990
_cell_length_c 27.3749
_cell_angle_alpha 90.00
_cell_angle_beta 90.00
_cell_angle_gamma 120.00
loop_
_atom_site_label
_atom_site_fract_x
_atom_site_fract_y
_atom_site_fract_z
Hf1 0.0000 0.0000 0.1210
Au1 0.0000 0.0000 0.3745
C1 0.0000 0.0000 0.5000
```

Most intense lines, 10° ≤ 2θ ≤ 90°, sorted by position:
2θ/deg	intensity
34.0	100.0
39.5	21.4
41.2	62.1
55.7	26.2
63.4	16.5
66.9	14.5
70.4	24.1
71.6	12.3
77.3	8.7
89.3	6.9